Calculated powder diffractogram
Compound: GeBiH8C2S4N
Radiation: Cu Kα (λ = 1.5418 Å)
Structure: DFT lattice parameters and positions (PBE)

Principal peaks in the range 10° ≤ 2θ ≤ 90°, most intense first:
d/Å  Rel. int.  index
4.796  100  1 1 -1
4.257  96  0 1 2
4.891  95  1 1 0
3.984  83  1 1 -2
3.297  78  1 1 2
5.932  68  0 1 1
3.581  68  0 2 0
2.637  60  1 1 3
3.229  55  2 0 -2
3.160  55  0 1 3

Atomic structure:
Unit cell a=6.9284 b=7.1621 c=10.9542 alpha=90.00 beta=104.88 gamma=90.00
Space group P2_1 (No. 4)
Asymmetric unit:
Ge 0.2167 0.0000 0.3496 (multiplicity 2)
Bi 0.2457 0.6034 0.5413 (multiplicity 2)
H 0.0199 0.5595 0.0503 (multiplicity 2)
H 0.1147 0.3481 0.0010 (multiplicity 2)
H 0.1856 0.5671 0.9489 (multiplicity 2)
H 0.2844 0.6010 0.2036 (multiplicity 2)
H 0.3347 0.3745 0.1893 (multiplicity 2)
H 0.3945 0.1366 0.8088 (multiplicity 2)
H 0.3999 0.9140 0.8831 (multiplicity 2)
H 0.4954 0.6122 0.0246 (multiplicity 2)
C 0.1491 0.4940 0.0273 (multiplicity 2)
C 0.4812 0.0458 0.8832 (multiplicity 2)
S 0.0118 0.2443 0.3380 (multiplicity 2)
S 0.0475 0.7354 0.3008 (multiplicity 2)
S 0.3952 0.9441 0.5508 (multiplicity 2)
S 0.4278 0.0665 0.2344 (multiplicity 2)
N 0.3210 0.5034 0.1421 (multiplicity 2)